# 1
Simulated powder diffraction line list
Compound: NdBi
Radiation: copper Kα
Structure: a cell relaxed with PBE

Top 10 peaks for 2θ = 10–80°, sorted by position:
2θ = 23.64°, I 6
2θ = 27.36°, I 100
2θ = 39.08°, I 79
2θ = 46.18°, I 3
2θ = 48.36°, I 29
2θ = 56.46°, I 14
2θ = 62.06°, I 1
2θ = 63.85°, I 38
2θ = 70.81°, I 28
2θ = 75.83°, I 1

Crystal structure
```
8
Lattice="6.5192 0.0000 0.0000 0.0000 6.5192 0.0000 0.0000 0.0000 6.5192" Properties=species:S:1:pos:R:3 pbc="T T T"
Nd 0.0000 0.0000 0.0000
Nd 0.0000 3.2596 3.2596
Nd 3.2596 0.0000 3.2596
Nd 3.2596 3.2596 0.0000
Bi 0.0000 0.0000 3.2596
Bi 0.0000 3.2596 0.0000
Bi 3.2596 0.0000 0.0000
Bi 3.2596 3.2596 3.2596
```

# 2
Simulated powder diffraction line list
Compound: Nd4Bi3
Radiation: copper Kα
Structure: a cell relaxed with PBE

Top 10 peaks for 2θ = 10–80°, sorted by position:
2θ = 22.46°, I 13
2θ = 29.13°, I 100
2θ = 34.62°, I 65
2θ = 41.66°, I 20
2θ = 43.79°, I 14
2θ = 45.85°, I 13
2θ = 47.84°, I 20
2θ = 58.70°, I 31
2θ = 62.03°, I 15
2θ = 71.51°, I 21

Crystal structure
```
14
Lattice="-4.8478 4.8478 4.8478 4.8478 -4.8478 4.8478 4.8478 4.8478 -4.8478" Properties=species:S:1:pos:R:3 pbc="T T T"
Nd 3.1194 1.7284 -1.7284
Nd 5.5434 -0.6955 0.6955
Nd 1.7284 -1.7284 3.1194
Nd 1.7284 1.7284 1.7284
Nd -1.7284 3.1194 1.7284
Nd 0.6955 5.5434 -0.6955
Nd -0.6955 0.6955 5.5434
Nd 4.1523 4.1523 4.1523
Bi 4.8478 -2.4239 3.6359
Bi 3.6359 4.8478 -2.4239
Bi 4.8478 2.4239 1.2120
Bi 2.4239 1.2120 4.8478
Bi 1.2120 4.8478 2.4239
Bi -2.4239 3.6359 4.8478
```

# 3
Simulated powder diffraction line list
Compound: NdNi2Bi2
Radiation: copper Kα
Structure: a cell relaxed with PBE

Top 10 peaks for 2θ = 10–80°, sorted by position:
2θ = 26.19°, I 20
2θ = 28.34°, I 53
2θ = 32.23°, I 100
2θ = 32.53°, I 64
2θ = 38.45°, I 87
2θ = 44.84°, I 41
2θ = 51.22°, I 36
2θ = 55.51°, I 30
2θ = 65.65°, I 26
2θ = 74.02°, I 19

Crystal structure
```
10
Lattice="4.6826 0.0000 0.0000 0.0000 4.6826 0.0000 0.0000 0.0000 10.2073" Properties=species:S:1:pos:R:3 pbc="T T T"
Nd 1.1707 1.1707 2.3792
Nd 3.5120 3.5120 7.8281
Ni 1.1707 1.1707 6.3683
Ni 1.1707 3.5120 0.0000
Ni 3.5120 1.1707 0.0000
Ni 3.5120 3.5120 3.8390
Bi 1.1707 1.1707 8.9360
Bi 1.1707 3.5120 5.1036
Bi 3.5120 1.1707 5.1036
Bi 3.5120 3.5120 1.2713
```

# 4
Simulated powder diffraction line list
Compound: NdNiBi
Radiation: copper Kα
Structure: a cell relaxed with PBE

Top 10 peaks for 2θ = 10–80°, sorted by position:
2θ = 23.25°, I 11
2θ = 26.91°, I 59
2θ = 38.42°, I 100
2θ = 45.39°, I 6
2θ = 47.53°, I 18
2θ = 55.46°, I 17
2θ = 60.94°, I 2
2θ = 62.69°, I 24
2θ = 69.48°, I 35
2θ = 74.38°, I 2

Crystal structure
```
12
Lattice="6.6272 0.0000 0.0000 0.0000 6.6272 0.0000 0.0000 0.0000 6.6272" Properties=species:S:1:pos:R:3 pbc="T T T"
Nd 0.0000 0.0000 0.0000
Nd 0.0000 3.3136 3.3136
Nd 3.3136 0.0000 3.3136
Nd 3.3136 3.3136 0.0000
Ni 1.6568 1.6568 4.9704
Ni 1.6568 4.9704 1.6568
Ni 4.9704 1.6568 1.6568
Ni 4.9704 4.9704 4.9704
Bi 0.0000 0.0000 3.3136
Bi 0.0000 3.3136 0.0000
Bi 3.3136 0.0000 0.0000
Bi 3.3136 3.3136 3.3136
```

# 5
Simulated powder diffraction line list
Compound: NdBiO4
Radiation: copper Kα
Structure: a cell relaxed with PBE

Top 10 peaks for 2θ = 10–80°, sorted by position:
2θ = 26.62°, I 100
2θ = 28.57°, I 93
2θ = 31.03°, I 19
2θ = 31.45°, I 25
2θ = 33.45°, I 19
2θ = 44.03°, I 18
2θ = 44.77°, I 25
2θ = 46.27°, I 24
2θ = 51.98°, I 17
2θ = 54.65°, I 14

Crystal structure
```
12
Lattice="3.7239 -5.7643 0.0000 3.7239 5.7643 0.0000 -3.4764 0.0000 4.1135" Properties=species:S:1:pos:R:3 pbc="T T T"
Nd 1.1167 4.1900 3.0851
Nd 2.8548 -4.1900 1.0284
Bi 2.8548 1.1483 1.0284
Bi 1.1167 -1.1483 3.0851
O 1.3146 2.4890 1.3724
O -0.7481 0.3135 3.1721
O 0.9901 -0.3135 1.1154
O 4.3951 2.4890 0.6843
O -0.4236 -2.4890 3.4292
O 2.9814 0.3135 2.9981
O 4.7196 -0.3135 0.9414
O 2.6569 -2.4890 2.7410
```

# 6
Simulated powder diffraction line list
Compound: NdBiRu2O7
Radiation: copper Kα
Structure: a cell relaxed with PBE

Top 10 peaks for 2θ = 10–80°, sorted by position:
2θ = 14.66°, I 13
2θ = 29.57°, I 100
2θ = 29.83°, I 99
2θ = 34.43°, I 69
2θ = 49.12°, I 16
2θ = 49.50°, I 60
2θ = 49.81°, I 15
2θ = 58.53°, I 29
2θ = 58.75°, I 15
2θ = 58.96°, I 43

Crystal structure
```
22
Lattice="-3.6614 3.7097 5.2053 3.6614 -3.7097 5.2053 3.6614 3.7097 -5.2053" Properties=species:S:1:pos:R:3 pbc="T T T"
Nd 0.0000 0.0000 0.0000
Nd 0.0000 3.7097 0.0000
Bi -1.8307 1.8548 2.6026
Bi 1.8307 1.8548 2.6026
Ru 1.8307 1.8548 -2.6026
Ru 1.8307 -1.8548 2.6026
Ru 3.6614 0.0000 0.0000
Ru 0.0000 0.0000 5.2053
O 3.6614 -1.8549 3.4238
O 2.1935 -0.3407 1.3178
O 5.1293 -0.3407 1.3178
O 3.6614 1.8549 0.8040
O 2.1935 3.3690 -1.3178
O 1.4679 -0.3407 3.8875
O 0.0000 1.8548 1.2870
O 3.6614 1.8548 3.9182
O 2.1935 4.0504 1.3178
O 1.4679 0.3407 6.5230
O 0.0000 1.8549 4.4013
O -1.4679 4.0504 3.8875
O 1.4679 4.0504 3.8875
O 0.0000 5.5646 1.7815
```

# 7
Simulated powder diffraction line list
Compound: Sr2NdBiO6
Radiation: copper Kα
Structure: a cell relaxed with PBE

Top 10 peaks for 2θ = 10–80°, sorted by position:
2θ = 17.52°, I 4
2θ = 20.25°, I 21
2θ = 28.79°, I 100
2θ = 41.17°, I 30
2θ = 46.30°, I 10
2θ = 51.02°, I 42
2θ = 59.64°, I 20
2θ = 63.66°, I 5
2θ = 67.55°, I 19
2θ = 75.04°, I 6

Crystal structure
```
10
Lattice="0.0000 4.3850 4.3850 4.3850 0.0000 4.3850 4.3850 4.3850 0.0000" Properties=species:S:1:pos:R:3 pbc="T T T"
Sr 2.1925 2.1925 2.1925
Sr 6.5775 6.5775 6.5775
Nd 0.0000 0.0000 0.0000
Bi 4.3850 4.3850 4.3850
O 4.3850 4.3850 2.2795
O 4.3850 2.2795 4.3850
O 6.4905 4.3850 4.3850
O 2.2795 4.3850 4.3850
O 4.3850 6.4905 4.3850
O 4.3850 4.3850 6.4905
```

# 8
Simulated powder diffraction line list
Compound: Sr2NdBiO6
Radiation: copper Kα
Structure: a cell relaxed with PBE

Top 10 peaks for 2θ = 10–80°, sorted by position:
2θ = 20.58°, I 58
2θ = 28.81°, I 48
2θ = 29.23°, I 100
2θ = 29.33°, I 100
2θ = 29.67°, I 46
2θ = 41.83°, I 47
2θ = 41.94°, I 26
2θ = 51.35°, I 37
2θ = 52.32°, I 34
2θ = 52.51°, I 24

Crystal structure
```
20
Lattice="6.0221 0.0000 0.0000 0.0000 6.1970 0.0000 -5.9790 0.0000 8.6170" Properties=species:S:1:pos:R:3 pbc="T T T"
Sr -0.0731 0.2938 2.1634
Sr -3.0626 2.8047 6.4719
Sr 3.1058 3.3922 2.1451
Sr 0.1163 5.9032 6.4536
Nd 3.0111 0.0000 0.0000
Nd 0.0216 3.0985 4.3085
Bi -2.9895 0.0000 4.3085
Bi 0.0000 3.0985 0.0000
O -4.8413 1.3384 8.1027
O -1.8518 1.7601 3.7942
O -4.2603 4.3004 8.1611
O -1.2709 4.9951 3.8526
O -2.3479 0.2698 6.3508
O 0.6416 2.8287 2.0423
O -0.5985 3.3683 6.5747
O 2.3910 5.9271 2.2662
O 1.3140 1.2019 4.7644
O 4.3035 1.8966 0.4559
O 1.8950 4.4369 4.8228
O 4.8845 4.8586 0.5143
```

# 9
Simulated powder diffraction line list
Compound: Sr2NdBiO6
Radiation: copper Kα
Structure: a cell relaxed with PBE

Top 10 peaks for 2θ = 10–80°, sorted by position:
2θ = 17.68°, I 4
2θ = 20.45°, I 19
2θ = 29.07°, I 100
2θ = 41.58°, I 27
2θ = 46.76°, I 9
2θ = 51.54°, I 47
2θ = 60.26°, I 16
2θ = 64.34°, I 4
2θ = 68.28°, I 19
2θ = 75.88°, I 5

Crystal structure
```
40
Lattice="8.6874 0.0000 0.0000 0.0000 8.6874 0.0000 0.0000 0.0000 8.6874" Properties=species:S:1:pos:R:3 pbc="T T T"
Sr 2.1719 2.1719 2.1719
Sr 2.1719 2.1719 6.5156
Sr 2.1719 6.5156 2.1719
Sr 2.1719 6.5156 6.5156
Sr 6.5156 2.1719 2.1719
Sr 6.5156 2.1719 6.5156
Sr 6.5156 6.5156 2.1719
Sr 6.5156 6.5156 6.5156
Nd 0.0000 0.0000 0.0000
Nd 0.0000 4.3437 4.3437
Nd 4.3437 0.0000 4.3437
Nd 4.3437 4.3437 0.0000
Bi 0.0000 0.0000 4.3437
Bi 0.0000 4.3437 0.0000
Bi 4.3437 0.0000 0.0000
Bi 4.3437 4.3437 4.3437
O 0.3326 4.7691 6.6151
O 0.3326 8.2620 6.4160
O 0.4254 2.0723 4.6763
O 0.4254 2.2714 8.3548
O 2.0723 4.6763 0.4254
O 2.0723 8.3548 3.9183
O 2.2714 4.6763 3.9183
O 2.2714 8.3548 0.4254
O 3.9183 2.0723 8.3548
O 3.9183 2.2714 4.6763
O 4.0111 4.7691 6.4160
O 4.0111 8.2620 6.6151
O 4.6763 0.4254 2.0723
O 4.6763 3.9183 2.2714
O 4.7691 6.4160 4.0111
O 4.7691 6.6151 0.3326
O 6.4160 0.3326 8.2620
O 6.4160 4.0111 4.7691
O 6.6151 0.3326 4.7691
O 6.6151 4.0111 8.2620
O 8.2620 6.4160 0.3326
O 8.2620 6.6151 4.0111
O 8.3548 0.4254 2.2714
O 8.3548 3.9183 2.0723
```

# 10
Simulated powder diffraction line list
Compound: NdBiRh
Radiation: copper Kα
Structure: a cell relaxed with PBE

Top 10 peaks for 2θ = 10–80°, sorted by position:
2θ = 31.49°, I 50
2θ = 32.21°, I 100
2θ = 32.90°, I 39
2θ = 37.00°, I 55
2θ = 37.74°, I 38
2θ = 38.82°, I 74
2θ = 50.33°, I 27
2θ = 53.89°, I 29
2θ = 62.87°, I 32
2θ = 69.80°, I 19

Crystal structure
```
12
Lattice="7.4978 0.0000 0.0000 0.0000 4.8591 0.0000 0.0000 0.0000 7.9199" Properties=species:S:1:pos:R:3 pbc="T T T"
Nd 0.1203 1.2148 1.6068
Nd 3.6286 3.6443 5.5667
Nd 3.8692 1.2148 2.3531
Nd 7.3775 3.6443 6.3131
Bi 1.4239 1.2148 4.6910
Bi 2.3250 3.6443 0.7311
Bi 5.1728 1.2148 7.1888
Bi 6.0739 3.6443 3.2289
Rh 1.5007 3.6443 3.3919
Rh 2.2482 1.2148 7.3518
Rh 5.2496 3.6443 0.5681
Rh 5.9971 1.2148 4.5280
```